Diffraction record for Sm3Pa3AlN8. The PXRD pattern is simulated, not measured: it uses the GGA-PBE geometry in Alexandria and Cu Kα, 1.54184 Å.
Peak positions follow from Bragg's law for the DFT cell and can differ from measured ones.

Structure:
```
Sm3Pa3AlN8
1.0
3.433 1.982 5.734
-3.433 1.982 5.734
0.000 -3.964 5.734
Sm Pa Al N
3 3 1 8
Direct
0.000 0.500 0.500 Sm
0.500 0.000 0.500 Sm
0.500 0.500 0.000 Sm
0.000 0.000 0.500 Pa
0.000 0.500 0.000 Pa
0.500 0.000 0.000 Pa
0.500 0.500 0.500 Al
0.244 0.244 0.244 N
0.253 0.724 0.724 N
0.276 0.276 0.747 N
0.276 0.747 0.276 N
0.724 0.253 0.724 N
0.724 0.724 0.253 N
0.747 0.276 0.276 N
0.756 0.756 0.756 N
```

Most intense lines, 10° ≤ 2θ ≤ 80°, in order of rising 2θ:
d [Å]  I (rel.)
4.891  430
3.485  188
3.433  185
2.867  360
2.810  1000
2.445  986
1.742  341
1.716  335
1.473  314
1.405  170